TbInAu2: theoretical powder XRD pattern (Cu Kα (λ = 1.5418 Å)), based on a structure optimized by DFT (GGA-PBE).

Most intense lines, 2θ = 10–90°, in order of rising 2θ:
hkl 1 1 1, 2θ = 21.9°, I = 1; hkl 2 0 0, 2θ = 25.4°, I = 4; hkl 2 2 0, 2θ = 36.2°, I = 100; hkl 2 2 2, 2θ = 44.7°, I = 1; hkl 4 0 0, 2θ = 52.1°, I = 18; hkl 4 2 0, 2θ = 58.9°, I = 2; hkl 4 2 2, 2θ = 65.1°, I = 36; hkl 4 4 0, 2θ = 76.8°, I = 11; hkl 6 0 0, 2θ = 82.5°, I = 1; hkl 6 2 0, 2θ = 88.0°, I = 17

Structural model:
Cell: 7.0173 7.0173 7.0173 Å, 90.00 90.00 90.00°
Atoms (fractional coordinates):
Tb 0.0000 0.0000 0.0000
Tb 0.0000 0.5000 0.5000
Tb 0.5000 0.0000 0.5000
Tb 0.5000 0.5000 0.0000
In 0.0000 0.0000 0.5000
In 0.0000 0.5000 0.0000
In 0.5000 0.0000 0.0000
In 0.5000 0.5000 0.5000
Au 0.2500 0.2500 0.2500
Au 0.2500 0.2500 0.7500
Au 0.2500 0.7500 0.2500
Au 0.2500 0.7500 0.7500
Au 0.7500 0.2500 0.2500
Au 0.7500 0.2500 0.7500
Au 0.7500 0.7500 0.2500
Au 0.7500 0.7500 0.7500

---

ThInAu2: theoretical powder XRD pattern (Cu Kα (λ = 1.5418 Å)), based on a structure optimized by DFT (GGA-PBE).

Most intense lines, 2θ = 10–90°, in order of rising 2θ:
hkl 1 1 1, 2θ = 21.4°, I = 5; hkl 2 0 0, 2θ = 24.8°, I = 1; hkl 2 2 0, 2θ = 35.3°, I = 100; hkl 3 1 1, 2θ = 41.7°, I = 3; hkl 4 0 0, 2θ = 50.8°, I = 18; hkl 3 3 1, 2θ = 55.8°, I = 1; hkl 4 2 2, 2θ = 63.4°, I = 37; hkl 5 1 1, 2θ = 67.8°, I = 1; hkl 4 4 0, 2θ = 74.8°, I = 12; hkl 5 3 1, 2θ = 78.8°, I = 1; hkl 6 2 0, 2θ = 85.5°, I = 17

Structural model:
Cell: 7.1834 7.1834 7.1834 Å, 90.00 90.00 90.00°
Atoms (fractional coordinates):
Th 0.0000 0.0000 0.0000
Th 0.0000 0.5000 0.5000
Th 0.5000 0.0000 0.5000
Th 0.5000 0.5000 0.0000
In 0.0000 0.0000 0.5000
In 0.0000 0.5000 0.0000
In 0.5000 0.0000 0.0000
In 0.5000 0.5000 0.5000
Au 0.2500 0.2500 0.2500
Au 0.2500 0.2500 0.7500
Au 0.2500 0.7500 0.2500
Au 0.2500 0.7500 0.7500
Au 0.7500 0.2500 0.2500
Au 0.7500 0.2500 0.7500
Au 0.7500 0.7500 0.2500
Au 0.7500 0.7500 0.7500

---

TiInAu2: theoretical powder XRD pattern (Cu Kα (λ = 1.5418 Å)), based on a structure optimized by DFT (GGA-PBE).

Most intense lines, 2θ = 10–90°, in order of rising 2θ:
hkl 1 1 1, 2θ = 23.1°, I = 4; hkl 2 0 0, 2θ = 26.7°, I = 21; hkl 2 2 0, 2θ = 38.1°, I = 100; hkl 3 1 1, 2θ = 45.1°, I = 2; hkl 2 2 2, 2θ = 47.2°, I = 7; hkl 4 0 0, 2θ = 55.0°, I = 17; hkl 3 3 1, 2θ = 60.5°, I = 1; hkl 4 2 0, 2θ = 62.2°, I = 9; hkl 4 2 2, 2θ = 68.9°, I = 35; hkl 4 4 0, 2θ = 81.6°, I = 11; hkl 5 3 1, 2θ = 86.2°, I = 1; hkl 6 0 0, 2θ = 87.7°, I = 5

Structural model:
Cell: 6.6740 6.6740 6.6740 Å, 90.00 90.00 90.00°
Atoms (fractional coordinates):
Ti 0.0000 0.0000 0.0000
Ti 0.0000 0.5000 0.5000
Ti 0.5000 0.0000 0.5000
Ti 0.5000 0.5000 0.0000
In 0.0000 0.0000 0.5000
In 0.0000 0.5000 0.0000
In 0.5000 0.0000 0.0000
In 0.5000 0.5000 0.5000
Au 0.2500 0.2500 0.2500
Au 0.2500 0.2500 0.7500
Au 0.2500 0.7500 0.2500
Au 0.2500 0.7500 0.7500
Au 0.7500 0.2500 0.2500
Au 0.7500 0.2500 0.7500
Au 0.7500 0.7500 0.2500
Au 0.7500 0.7500 0.7500

---

Tm2InAu2: theoretical powder XRD pattern (Cu Kα (λ = 1.5418 Å)), based on a structure optimized by DFT (GGA-PBE).

Most intense lines, 2θ = 10–90°, in order of rising 2θ:
hkl 1 1 0, 2θ = 15.1°, I = 15; hkl 1 1 2, 2θ = 29.4°, I = 8; hkl 3 1 0, 2θ = 34.3°, I = 47; hkl 2 1 2, 2θ = 35.0°, I = 100; hkl 4 0 0, 2θ = 43.7°, I = 11; hkl 3 3 0, 2θ = 46.5°, I = 9; hkl 3 2 2, 2θ = 47.1°, I = 11; hkl 0 0 4, 2θ = 51.5°, I = 10; hkl 4 1 2, 2θ = 52.4°, I = 8; hkl 3 1 4, 2θ = 63.3°, I = 16; hkl 5 2 2, 2θ = 66.3°, I = 23; hkl 2 1 6, 2θ = 86.3°, I = 8

Structural model:
Cell: 8.2791 8.2791 7.0980 Å, 90.00 90.00 90.00°
Atoms (fractional coordinates):
Tm 0.1551 0.1551 0.2501
Tm 0.1551 0.1551 0.7499
Tm 0.3449 0.6551 0.2499
Tm 0.3449 0.6551 0.7501
Tm 0.6551 0.3449 0.2499
Tm 0.6551 0.3449 0.7501
Tm 0.8449 0.8449 0.2501
Tm 0.8449 0.8449 0.7499
In 0.0000 0.5000 0.2500
In 0.0000 0.5000 0.7500
In 0.5000 0.0000 0.2500
In 0.5000 0.0000 0.7500
Au 0.1358 0.8642 0.0000
Au 0.1368 0.8632 0.5000
Au 0.3632 0.3632 0.0000
Au 0.3642 0.3642 0.5000
Au 0.6358 0.6358 0.5000
Au 0.6368 0.6368 0.0000
Au 0.8632 0.1368 0.5000
Au 0.8642 0.1358 0.0000

---

Tm2InAu2: theoretical powder XRD pattern (Cu Kα (λ = 1.5418 Å)), based on a structure optimized by DFT (GGA-PBE).

Most intense lines, 2θ = 10–90°, in order of rising 2θ:
hkl 1 1 0, 2θ = 15.7°, I = 15; hkl 2 0 2, 2θ = 33.5°, I = 17; hkl 2 1 2, 2θ = 35.4°, I = 100; hkl 3 1 0, 2θ = 35.6°, I = 43; hkl 3 2 0, 2θ = 40.8°, I = 11; hkl 4 0 0, 2θ = 45.5°, I = 8; hkl 3 2 2, 2θ = 48.2°, I = 9; hkl 0 0 4, 2θ = 50.6°, I = 10; hkl 4 1 2, 2θ = 53.7°, I = 9; hkl 3 1 4, 2θ = 63.3°, I = 13; hkl 5 1 2, 2θ = 64.9°, I = 8; hkl 5 2 2, 2θ = 68.4°, I = 15

Structural model:
Cell: 7.9796 7.9796 7.2209 Å, 90.00 90.00 90.00°
Atoms (fractional coordinates):
Tm 0.1569 0.1569 0.0000
Tm 0.1827 0.1827 0.5000
Tm 0.3173 0.6827 0.0000
Tm 0.3431 0.6569 0.5000
Tm 0.6569 0.3431 0.5000
Tm 0.6827 0.3173 0.0000
Tm 0.8173 0.8173 0.5000
Tm 0.8431 0.8431 0.0000
In 0.0000 0.5000 0.2500
In 0.0000 0.5000 0.7500
In 0.5000 0.0000 0.2500
In 0.5000 0.0000 0.7500
Au 0.1289 0.8711 0.2755
Au 0.1289 0.8711 0.7245
Au 0.3711 0.3711 0.2245
Au 0.3711 0.3711 0.7755
Au 0.6289 0.6289 0.2245
Au 0.6289 0.6289 0.7755
Au 0.8711 0.1289 0.2755
Au 0.8711 0.1289 0.7245

---

Tm2InAu2: theoretical powder XRD pattern (Cu Kα (λ = 1.5418 Å)), based on a structure optimized by DFT (GGA-PBE).

Most intense lines, 2θ = 10–90°, in order of rising 2θ:
hkl 1 1 0, 2θ = 15.7°, I = 13; hkl 2 0 1, 2θ = 33.4°, I = 15; hkl 2 1 1, 2θ = 35.3°, I = 100; hkl 3 1 0, 2θ = 35.6°, I = 40; hkl 3 2 0, 2θ = 40.8°, I = 9; hkl 3 2 1, 2θ = 48.2°, I = 9; hkl 0 0 2, 2θ = 50.2°, I = 12; hkl 4 1 1, 2θ = 53.7°, I = 9; hkl 3 1 2, 2θ = 63.1°, I = 15; hkl 5 1 1, 2θ = 65.0°, I = 8; hkl 5 2 1, 2θ = 68.5°, I = 15; hkl 2 1 3, 2θ = 84.4°, I = 9

Structural model:
Cell: 7.9670 7.9670 3.6351 Å, 90.00 90.00 90.00°
Atoms (fractional coordinates):
Tm 0.1694 0.3306 0.0000
Tm 0.3306 0.8306 0.0000
Tm 0.6694 0.1694 0.0000
Tm 0.8306 0.6694 0.0000
In 0.0000 0.0000 0.5000
In 0.5000 0.5000 0.5000
Au 0.1291 0.6291 0.5000
Au 0.3709 0.1291 0.5000
Au 0.6291 0.8709 0.5000
Au 0.8709 0.3709 0.5000

---

UInAu2: theoretical powder XRD pattern (Cu Kα (λ = 1.5418 Å)), based on a structure optimized by DFT (GGA-PBE).

Most intense lines, 2θ = 10–90°, in order of rising 2θ:
hkl 1 1 1, 2θ = 21.8°, I = 5; hkl 2 0 0, 2θ = 25.2°, I = 1; hkl 2 2 0, 2θ = 35.9°, I = 100; hkl 3 1 1, 2θ = 42.4°, I = 3; hkl 4 0 0, 2θ = 51.7°, I = 18; hkl 3 3 1, 2θ = 56.7°, I = 1; hkl 4 2 2, 2θ = 64.6°, I = 37; hkl 5 1 1, 2θ = 69.0°, I = 1; hkl 4 4 0, 2θ = 76.1°, I = 12; hkl 5 3 1, 2θ = 80.3°, I = 1; hkl 6 2 0, 2θ = 87.2°, I = 17

Structural model:
Cell: 7.0719 7.0719 7.0719 Å, 90.00 90.00 90.00°
Atoms (fractional coordinates):
U 0.0000 0.0000 0.0000
U 0.0000 0.5000 0.5000
U 0.5000 0.0000 0.5000
U 0.5000 0.5000 0.0000
In 0.0000 0.0000 0.5000
In 0.0000 0.5000 0.0000
In 0.5000 0.0000 0.0000
In 0.5000 0.5000 0.5000
Au 0.2500 0.2500 0.2500
Au 0.2500 0.2500 0.7500
Au 0.2500 0.7500 0.2500
Au 0.2500 0.7500 0.7500
Au 0.7500 0.2500 0.2500
Au 0.7500 0.2500 0.7500
Au 0.7500 0.7500 0.2500
Au 0.7500 0.7500 0.7500

---

ZrInAu2: theoretical powder XRD pattern (Cu Kα (λ = 1.5418 Å)), based on a structure optimized by DFT (GGA-PBE).

Most intense lines, 2θ = 10–90°, in order of rising 2θ:
hkl 0 0 2, 2θ = 24.6°, I = 6; hkl 1 0 0, 2θ = 26.1°, I = 11; hkl 1 0 2, 2θ = 36.2°, I = 100; hkl 1 1 0, 2θ = 37.2°, I = 48; hkl 1 1 2, 2θ = 45.2°, I = 5; hkl 0 0 4, 2θ = 50.5°, I = 9; hkl 2 0 0, 2θ = 53.7°, I = 18; hkl 1 1 4, 2θ = 64.4°, I = 18; hkl 2 1 2, 2θ = 66.5°, I = 34; hkl 2 0 4, 2θ = 76.8°, I = 11; hkl 2 2 0, 2θ = 79.4°, I = 5; hkl 1 0 6, 2θ = 85.5°, I = 8

Structural model:
Cell: 3.4140 3.4140 7.2276 Å, 90.00 90.00 90.00°
Atoms (fractional coordinates):
Zr 0.0000 0.0000 0.0000
In 0.0000 0.0000 0.5000
Au 0.5000 0.5000 0.2370
Au 0.5000 0.5000 0.7630

---

ZrInAu2: theoretical powder XRD pattern (Cu Kα (λ = 1.5418 Å)), based on a structure optimized by DFT (GGA-PBE).

Most intense lines, 2θ = 10–90°, in order of rising 2θ:
hkl 2 0 0, 2θ = 26.1°, I = 11; hkl 2 2 0, 2θ = 37.2°, I = 100; hkl 2 2 2, 2θ = 46.0°, I = 4; hkl 4 0 0, 2θ = 53.6°, I = 17; hkl 4 2 0, 2θ = 60.6°, I = 5; hkl 4 2 2, 2θ = 67.1°, I = 36; hkl 4 4 0, 2θ = 79.2°, I = 11; hkl 6 0 0, 2θ = 85.1°, I = 3

Structural model:
Cell: 6.8381 6.8381 6.8381 Å, 90.00 90.00 90.00°
Atoms (fractional coordinates):
Zr 0.0000 0.0000 0.0000
Zr 0.0000 0.5000 0.5000
Zr 0.5000 0.0000 0.5000
Zr 0.5000 0.5000 0.0000
In 0.0000 0.0000 0.5000
In 0.0000 0.5000 0.0000
In 0.5000 0.0000 0.0000
In 0.5000 0.5000 0.5000
Au 0.2500 0.2500 0.2500
Au 0.2500 0.2500 0.7500
Au 0.2500 0.7500 0.2500
Au 0.2500 0.7500 0.7500
Au 0.7500 0.2500 0.2500
Au 0.7500 0.2500 0.7500
Au 0.7500 0.7500 0.2500
Au 0.7500 0.7500 0.7500

---

Nb12IrAu3: theoretical powder XRD pattern (Cu Kα (λ = 1.5418 Å)), based on a structure optimized by DFT (GGA-PBE).

Most intense lines, 2θ = 10–90°, in order of rising 2θ:
hkl 1 1 0, 2θ = 24.0°, I = 24; hkl 0 2 0, 2θ = 34.2°, I = 30; hkl 2 0 0, 2θ = 34.3°, I = 15; hkl 1 2 0, 2θ = 38.4°, I = 37; hkl 2 0 2, 2θ = 38.5°, I = 19; hkl 1 1 4, 2θ = 42.3°, I = 100; hkl 0 3 4, 2θ = 64.1°, I = 6; hkl 2 3 2, 2θ = 66.8°, I = 34; hkl 3 1 4, 2θ = 66.9°, I = 17; hkl 0 4 0, 2θ = 72.1°, I = 9; hkl 0 2 8, 2θ = 82.3°, I = 7; hkl 2 3 6, 2θ = 87.3°, I = 9

Structural model:
Cell: 5.2229 5.2392 10.4900 Å, 90.00 90.00 90.00°
Atoms (fractional coordinates):
Nb 0.0000 0.0000 0.1222
Nb 0.0000 0.0000 0.3740
Nb 0.0000 0.0000 0.6260
Nb 0.0000 0.0000 0.8778
Nb 0.2491 0.5000 0.5000
Nb 0.2545 0.5000 0.0000
Nb 0.5000 0.2464 0.2475
Nb 0.5000 0.2464 0.7525
Nb 0.5000 0.7536 0.2475
Nb 0.5000 0.7536 0.7525
Nb 0.7455 0.5000 0.0000
Nb 0.7509 0.5000 0.5000
Ir 0.5000 0.0000 0.0000
Au 0.0000 0.5000 0.2488
Au 0.0000 0.5000 0.7512
Au 0.5000 0.0000 0.5000

---

Nd2IrAu: theoretical powder XRD pattern (Cu Kα (λ = 1.5418 Å)), based on a structure optimized by DFT (GGA-PBE).

Most intense lines, 2θ = 10–90°, in order of rising 2θ:
hkl 2 0 0, 2θ = 24.5°, I = 2; hkl 2 2 0, 2θ = 34.9°, I = 100; hkl 2 2 2, 2θ = 43.2°, I = 1; hkl 4 0 0, 2θ = 50.3°, I = 18; hkl 4 2 0, 2θ = 56.7°, I = 1; hkl 4 2 2, 2θ = 62.7°, I = 37; hkl 4 4 0, 2θ = 73.8°, I = 12; hkl 6 0 0, 2θ = 79.1°, I = 1; hkl 6 2 0, 2θ = 84.4°, I = 17

Structural model:
Cell: 7.2615 7.2615 7.2615 Å, 90.00 90.00 90.00°
Atoms (fractional coordinates):
Nd 0.2500 0.2500 0.2500
Nd 0.2500 0.2500 0.7500
Nd 0.2500 0.7500 0.2500
Nd 0.2500 0.7500 0.7500
Nd 0.7500 0.2500 0.2500
Nd 0.7500 0.2500 0.7500
Nd 0.7500 0.7500 0.2500
Nd 0.7500 0.7500 0.7500
Ir 0.0000 0.0000 0.0000
Ir 0.0000 0.5000 0.5000
Ir 0.5000 0.0000 0.5000
Ir 0.5000 0.5000 0.0000
Au 0.0000 0.0000 0.5000
Au 0.0000 0.5000 0.0000
Au 0.5000 0.0000 0.0000
Au 0.5000 0.5000 0.5000

---

Pm2IrAu: theoretical powder XRD pattern (Cu Kα (λ = 1.5418 Å)), based on a structure optimized by DFT (GGA-PBE).

Most intense lines, 2θ = 10–90°, in order of rising 2θ:
hkl 2 0 0, 2θ = 24.7°, I = 2; hkl 2 2 0, 2θ = 35.2°, I = 100; hkl 2 2 2, 2θ = 43.5°, I = 1; hkl 4 0 0, 2θ = 50.6°, I = 18; hkl 4 2 0, 2θ = 57.1°, I = 1; hkl 4 2 2, 2θ = 63.1°, I = 37; hkl 4 4 0, 2θ = 74.4°, I = 12; hkl 6 0 0, 2θ = 79.8°, I = 1; hkl 6 2 0, 2θ = 85.1°, I = 17

Structural model:
Cell: 7.2135 7.2135 7.2135 Å, 90.00 90.00 90.00°
Atoms (fractional coordinates):
Pm 0.2500 0.2500 0.2500
Pm 0.2500 0.2500 0.7500
Pm 0.2500 0.7500 0.2500
Pm 0.2500 0.7500 0.7500
Pm 0.7500 0.2500 0.2500
Pm 0.7500 0.2500 0.7500
Pm 0.7500 0.7500 0.2500
Pm 0.7500 0.7500 0.7500
Ir 0.0000 0.0000 0.0000
Ir 0.0000 0.5000 0.5000
Ir 0.5000 0.0000 0.5000
Ir 0.5000 0.5000 0.0000
Au 0.0000 0.0000 0.5000
Au 0.0000 0.5000 0.0000
Au 0.5000 0.0000 0.0000
Au 0.5000 0.5000 0.5000

---

Sm2IrAu: theoretical powder XRD pattern (Cu Kα (λ = 1.5418 Å)), based on a structure optimized by DFT (GGA-PBE).

Most intense lines, 2θ = 10–90°, in order of rising 2θ:
hkl 2 0 0, 2θ = 24.8°, I = 2; hkl 2 2 0, 2θ = 35.4°, I = 100; hkl 2 2 2, 2θ = 43.7°, I = 1; hkl 4 0 0, 2θ = 50.9°, I = 18; hkl 4 2 0, 2θ = 57.4°, I = 1; hkl 4 2 2, 2θ = 63.5°, I = 37; hkl 4 4 0, 2θ = 74.8°, I = 12; hkl 6 2 0, 2θ = 85.5°, I = 17

Structural model:
Cell: 7.1812 7.1812 7.1812 Å, 90.00 90.00 90.00°
Atoms (fractional coordinates):
Sm 0.2500 0.2500 0.2500
Sm 0.2500 0.2500 0.7500
Sm 0.2500 0.7500 0.2500
Sm 0.2500 0.7500 0.7500
Sm 0.7500 0.2500 0.2500
Sm 0.7500 0.2500 0.7500
Sm 0.7500 0.7500 0.2500
Sm 0.7500 0.7500 0.7500
Ir 0.0000 0.0000 0.0000
Ir 0.0000 0.5000 0.5000
Ir 0.5000 0.0000 0.5000
Ir 0.5000 0.5000 0.0000
Au 0.0000 0.0000 0.5000
Au 0.0000 0.5000 0.0000
Au 0.5000 0.0000 0.0000
Au 0.5000 0.5000 0.5000

---

Tb2IrAu: theoretical powder XRD pattern (Cu Kα (λ = 1.5418 Å)), based on a structure optimized by DFT (GGA-PBE).

Most intense lines, 2θ = 10–90°, in order of rising 2θ:
hkl 2 0 0, 2θ = 25.2°, I = 1; hkl 2 2 0, 2θ = 36.0°, I = 100; hkl 4 0 0, 2θ = 51.8°, I = 18; hkl 4 2 0, 2θ = 58.5°, I = 1; hkl 4 2 2, 2θ = 64.7°, I = 37; hkl 4 4 0, 2θ = 76.3°, I = 12; hkl 6 2 0, 2θ = 87.3°, I = 17

Structural model:
Cell: 7.0614 7.0614 7.0614 Å, 90.00 90.00 90.00°
Atoms (fractional coordinates):
Tb 0.2500 0.2500 0.2500
Tb 0.2500 0.2500 0.7500
Tb 0.2500 0.7500 0.2500
Tb 0.2500 0.7500 0.7500
Tb 0.7500 0.2500 0.2500
Tb 0.7500 0.2500 0.7500
Tb 0.7500 0.7500 0.2500
Tb 0.7500 0.7500 0.7500
Ir 0.0000 0.0000 0.0000
Ir 0.0000 0.5000 0.5000
Ir 0.5000 0.0000 0.5000
Ir 0.5000 0.5000 0.0000
Au 0.0000 0.0000 0.5000
Au 0.0000 0.5000 0.0000
Au 0.5000 0.0000 0.0000
Au 0.5000 0.5000 0.5000

---

KAu5: theoretical powder XRD pattern (Cu Kα (λ = 1.5418 Å)), based on a structure optimized by DFT (GGA-PBE).

Most intense lines, 2θ = 10–90°, in order of rising 2θ:
hkl 1 0 0, 2θ = 17.7°, I = 87; hkl 2 0 0, 2θ = 35.8°, I = 24; hkl 1 1 1, 2θ = 36.7°, I = 96; hkl 0 0 2, 2θ = 39.2°, I = 35; hkl 2 0 1, 2θ = 41.0°, I = 100; hkl 1 0 2, 2θ = 43.3°, I = 19; hkl 3 0 1, 2θ = 58.7°, I = 25; hkl 2 2 0, 2θ = 64.3°, I = 25; hkl 1 1 3, 2θ = 69.4°, I = 17; hkl 2 0 3, 2θ = 72.3°, I = 20; hkl 2 2 2, 2θ = 78.0°, I = 29; hkl 4 0 1, 2θ = 79.1°, I = 16

Structural model:
Cell: 5.7959 5.7959 4.5925 Å, 90.00 90.00 120.00°
Atoms (fractional coordinates):
K 0.0000 0.0000 0.0000
Au 0.0000 0.5000 0.5000
Au 0.3333 0.6667 0.0000
Au 0.5000 0.0000 0.5000
Au 0.5000 0.5000 0.5000
Au 0.6667 0.3333 0.0000